Starting from a crystal structure in Alexandria, relaxed with GGA-PBE, the powder diffractogram of SrH2SeN was calculated for CuKα.
No peak broadening, texture or thermal motion is included.

The 10 most intense peaks (10° ≤ 2θ ≤ 80°), sorted by position:
h k l	2theta	intensity
0 0 2	20.02	63.5
2 0 0	26.16	100.0
2 0 2	33.16	72.8
2 2 0	37.34	37.8
2 2 2	42.72	36.3
2 0 4	49.01	28.6
2 2 4	56.40	18.6
4 2 0	60.81	17.2
4 2 2	64.70	21.6
4 2 4	75.76	15.4

Atomic structure:
a b c (Å): 6.812 6.812 8.871
angles (deg): 90.00 90.00 90.00
Space group I4cm (No. 108)
Asymmetric unit:
Sr 0.000 0.000 0.000 x4
H 0.109 0.391 0.344 x8
Se 0.000 0.500 0.469 x4
N 0.000 0.000 0.250 x4